For Na3SrPCO7, a DFT-relaxed cell (GGA-PBE, the Materials Project) gives the theoretical powder X-ray diffraction pattern in this record (Cu Kα, 1.54184 Å).

Largest 10 diffraction maxima, low angle first, 2θ from 15° to 90°:
2θ/deg	I/Imax	hkl
19.31	26	1 0 -1
24.33	100	0 2 0
25.33	37	1 0 -2
30.96	43	0 2 2
31.28	87	1 2 -1
34.20	60	2 0 0
35.61	31	1 1 3
41.44	25	2 1 2
45.85	53	0 2 4
49.85	29	0 4 0

Structural model:
Unit cell a=5.2435 b=7.3176 c=9.4133 alpha=90.00 beta=90.45 gamma=90.00
Fractional positions:
Na: 0.2380 0.0122 0.2504
Na: 0.2380 0.4878 0.2504
Na: 0.2411 0.7500 0.5828
Na: 0.7589 0.2500 0.4172
Na: 0.7620 0.5122 0.7496
Na: 0.7620 0.9878 0.7496
Sr: 0.2392 0.2500 0.8689
Sr: 0.7608 0.7500 0.1311
P: 0.2994 0.7500 0.8997
P: 0.7006 0.2500 0.1003
C: 0.2667 0.2500 0.5519
C: 0.7333 0.7500 0.4481
O: 0.0432 0.2500 0.6119
O: 0.1901 0.5792 0.8217
O: 0.1901 0.9208 0.8217
O: 0.2362 0.7500 0.0630
O: 0.2832 0.2500 0.4139
O: 0.4043 0.2500 0.1114
O: 0.4749 0.2500 0.6292
O: 0.5251 0.7500 0.3708
O: 0.5957 0.7500 0.8886
O: 0.7168 0.7500 0.5861
O: 0.7638 0.2500 0.9370
O: 0.8099 0.0792 0.1783
O: 0.8099 0.4208 0.1783
O: 0.9568 0.7500 0.3881

***

For Na2TiPCO7, a DFT-relaxed cell (GGA-PBE, the Materials Project) gives the theoretical powder X-ray diffraction pattern in this record (Cu Kα, 1.54184 Å).

Largest 10 diffraction maxima, low angle first, 2θ from 15° to 90°:
2θ/deg	I/Imax	hkl
16.69	95	0 1 1
21.58	37	1 1 0
23.76	90	1 1 1
25.82	100	1 0 -2
25.95	36	1 0 2
27.20	78	0 2 0
33.64	93	1 2 -1
33.74	67	0 2 2
33.89	83	2 0 0
56.10	42	0 4 0

Structural model:
Unit cell a=5.2901 b=6.5574 c=9.0639 alpha=90.00 beta=90.29 gamma=90.00
Fractional positions:
Na: 0.2359 0.0017 0.2689
Na: 0.2359 0.4983 0.2689
Na: 0.7641 0.5017 0.7311
Na: 0.7641 0.9983 0.7311
Ti: 0.2197 0.2500 0.8478
Ti: 0.7803 0.7500 0.1522
P: 0.2922 0.7500 0.9257
P: 0.7078 0.2500 0.0743
C: 0.2717 0.2500 0.5725
C: 0.7283 0.7500 0.4275
O: 0.0521 0.2500 0.6422
O: 0.1569 0.7500 0.0774
O: 0.2122 0.5571 0.8373
O: 0.2122 0.9429 0.8373
O: 0.2907 0.2500 0.4352
O: 0.4148 0.2500 0.0535
O: 0.4672 0.2500 0.6648
O: 0.5328 0.7500 0.3352
O: 0.5852 0.7500 0.9465
O: 0.7093 0.7500 0.5648
O: 0.7878 0.0571 0.1627
O: 0.7878 0.4429 0.1627
O: 0.8431 0.2500 0.9226
O: 0.9479 0.7500 0.3578

***

For Na3TlPCO7, a DFT-relaxed cell (GGA-PBE, the Materials Project) gives the theoretical powder X-ray diffraction pattern in this record (Cu Kα, 1.54184 Å).

Largest 10 diffraction maxima, low angle first, 2θ from 15° to 90°:
2θ/deg	I/Imax	hkl
15.72	100	0 1 1
16.40	92	1 0 0
18.92	46	0 0 2
22.79	78	1 1 -1
25.12	42	1 0 -2
25.28	62	0 2 0
31.77	79	0 2 2
33.08	61	1 0 3
40.52	43	0 1 4
42.10	42	1 2 3

Structural model:
Unit cell a=5.4047 b=7.0470 c=9.3886 alpha=90.00 beta=90.13 gamma=90.00
Fractional positions:
Na: 0.0045 0.0000 0.3285
Na: 0.0268 0.2749 0.0151
Na: 0.4910 0.2828 0.4857
Na: 0.5090 0.7828 0.5143
Na: 0.9732 0.7749 0.9849
Na: 0.9955 0.5000 0.6715
Tl: 0.4829 0.5581 0.1883
Tl: 0.5171 0.0581 0.8117
P: 0.4942 0.0344 0.1680
P: 0.5058 0.5344 0.8320
C: 0.0121 0.0442 0.6405
C: 0.9879 0.5442 0.3595
O: 0.0278 0.0439 0.7801
O: 0.2029 0.5657 0.4203
O: 0.2071 0.0244 0.5613
O: 0.2558 0.9670 0.0937
O: 0.2864 0.5555 0.9377
O: 0.4215 0.3907 0.7138
O: 0.4333 0.2247 0.2474
O: 0.5667 0.7247 0.7526
O: 0.5785 0.8907 0.2862
O: 0.7136 0.0555 0.0623
O: 0.7442 0.4670 0.9063
O: 0.7929 0.5244 0.4387
O: 0.7971 0.0657 0.5797
O: 0.9722 0.5439 0.2199

***

For Na3TlPCO7, a DFT-relaxed cell (GGA-PBE, the Materials Project) gives the theoretical powder X-ray diffraction pattern in this record (Cu Kα, 1.54184 Å).

Largest 10 diffraction maxima, low angle first, 2θ from 15° to 90°:
2θ/deg	I/Imax	hkl
15.44	84	0 1 1
19.10	90	1 0 1
20.71	88	1 1 0
22.47	61	0 1 2
24.68	100	0 2 0
25.09	42	1 0 -2
25.23	55	1 0 2
31.40	99	1 2 1
33.61	58	2 0 0
45.87	49	0 2 4

Structural model:
Unit cell a=5.3331 b=7.2144 c=9.4630 alpha=90.00 beta=90.31 gamma=90.00
Fractional positions:
Na: 0.2406 0.0023 0.2549
Na: 0.2406 0.4977 0.2549
Na: 0.2408 0.7500 0.9173
Na: 0.7592 0.2500 0.0827
Na: 0.7594 0.5023 0.7451
Na: 0.7594 0.9977 0.7451
Tl: 0.2394 0.2500 0.6293
Tl: 0.7606 0.7500 0.3707
P: 0.2967 0.7500 0.5986
P: 0.7033 0.2500 0.4014
C: 0.2648 0.2500 0.9491
C: 0.7352 0.7500 0.0509
O: 0.0440 0.2500 0.8889
O: 0.1890 0.5798 0.6814
O: 0.1890 0.9202 0.6814
O: 0.2239 0.7500 0.4385
O: 0.2836 0.2500 0.0862
O: 0.4121 0.2500 0.3901
O: 0.4700 0.2500 0.8732
O: 0.5300 0.7500 0.1268
O: 0.5879 0.7500 0.6099
O: 0.7164 0.7500 0.9138
O: 0.7761 0.2500 0.5615
O: 0.8110 0.0798 0.3186
O: 0.8110 0.4202 0.3186
O: 0.9560 0.7500 0.1111

***

For Na2YPCO7, a DFT-relaxed cell (GGA-PBE, the Materials Project) gives the theoretical powder X-ray diffraction pattern in this record (Cu Kα, 1.54184 Å).

Largest 10 diffraction maxima, low angle first, 2θ from 15° to 90°:
2θ/deg	I/Imax	hkl
15.85	68	0 1 1
21.21	47	1 1 0
25.47	100	0 2 0
25.82	65	1 0 2
32.18	26	1 2 -1
32.31	33	1 2 1
34.32	41	2 0 0
35.87	37	2 0 1
38.80	27	0 0 4
46.96	24	0 2 4

Structural model:
Unit cell a=5.2259 b=7.0036 c=9.2866 alpha=90.00 beta=90.68 gamma=90.00
Fractional positions:
Na: 0.2312 0.0002 0.2077
Na: 0.2312 0.4998 0.2077
Na: 0.7688 0.9998 0.7923
Na: 0.7688 0.5002 0.7923
Y: 0.2237 0.2500 0.6299
Y: 0.7763 0.7500 0.3701
P: 0.2946 0.7500 0.5825
P: 0.7054 0.2500 0.4175
C: 0.2689 0.2500 0.9277
C: 0.7311 0.7500 0.0723
O: 0.0425 0.2500 0.8641
O: 0.1827 0.5690 0.6527
O: 0.1827 0.9310 0.6527
O: 0.2243 0.7500 0.4165
O: 0.2998 0.2500 0.0623
O: 0.4065 0.2500 0.4067
O: 0.4642 0.2500 0.8375
O: 0.5358 0.7500 0.1625
O: 0.5935 0.7500 0.5933
O: 0.7002 0.7500 0.9377
O: 0.7757 0.2500 0.5835
O: 0.8173 0.0690 0.3473
O: 0.8173 0.4310 0.3473
O: 0.9575 0.7500 0.1359

***

For Na3ZnPCO7, a DFT-relaxed cell (GGA-PBE, the Materials Project) gives the theoretical powder X-ray diffraction pattern in this record (Cu Kα, 1.54184 Å).

Largest 10 diffraction maxima, low angle first, 2θ from 15° to 90°:
2θ/deg	I/Imax	hkl
19.79	37	1 0 1
26.28	33	1 0 -2
26.53	65	0 2 0
33.32	100	0 2 2
34.62	82	2 0 0
42.48	30	2 1 -2
48.82	39	0 2 4
54.11	26	1 0 -5
54.63	22	0 4 0
61.21	24	2 2 -4

Structural model:
Unit cell a=5.1820 b=6.7196 c=8.9703 alpha=90.00 beta=90.03 gamma=90.00
Fractional positions:
Na: 0.2396 0.2500 0.0828
Na: 0.2485 0.5013 0.7396
Na: 0.2485 0.9987 0.7396
Na: 0.7515 0.0013 0.2604
Na: 0.7515 0.4987 0.2604
Na: 0.7604 0.7500 0.9172
Zn: 0.2177 0.7500 0.3624
Zn: 0.7823 0.2500 0.6376
P: 0.2957 0.2500 0.4146
P: 0.7043 0.7500 0.5854
C: 0.2642 0.7500 0.0633
C: 0.7358 0.2500 0.9367
O: 0.0376 0.7500 0.1255
O: 0.1656 0.2500 0.5703
O: 0.2187 0.0646 0.3202
O: 0.2187 0.4354 0.3202
O: 0.2857 0.7500 0.9189
O: 0.4042 0.7500 0.5622
O: 0.4686 0.7500 0.1475
O: 0.5314 0.2500 0.8525
O: 0.5958 0.2500 0.4378
O: 0.7143 0.2500 0.0811
O: 0.7813 0.5646 0.6798
O: 0.7813 0.9354 0.6798
O: 0.8344 0.7500 0.4297
O: 0.9624 0.2500 0.8745